Entry 1:
Diffraction record for Li2Mn3F8. The X-ray diffraction stick pattern is simulated, not measured: it uses a structure optimized by DFT (GGA+U) and Cu Kα, 1.54184 Å.

Structural model:
```
data_Li2Mn3F8
_chemical_formula_sum 'Li8 Mn12 F32'
_cell_length_a 8.842
_cell_length_b 8.842
_cell_length_c 8.842
_cell_angle_alpha 90.00
_cell_angle_beta 90.00
_cell_angle_gamma 90.00
_symmetry_space_group_name_H-M 'P 43 3 2'
_symmetry_Int_Tables_number 212
_symmetry_space_group_name_Hall 'P 4acd 2ab 3'
loop_
_atom_site_label
_atom_site_type_symbol
_atom_site_fract_x
_atom_site_fract_y
_atom_site_fract_z
Li1 Li 0.014 0.486 0.514
Mn1 Mn 0.100 0.625 0.150
F1 F 0.103 0.603 0.897
F2 F 0.109 0.117 0.864
```

Main lines, in order of rising 2θ (5 to 70 degrees two-theta):
(1 1 1), 17.37 deg, I 93
(2 1 0), 22.48 deg, I 44
(2 1 1), 24.66 deg, I 50
(3 1 1), 33.62 deg, I 65
(4 0 0), 40.82 deg, I 100
(4 4 0), 59.10 deg, I 52

Entry 2:
Diffraction record for Li9Mn7O16. The X-ray diffraction stick pattern is simulated, not measured: it uses a structure optimized by DFT (GGA+U) and Cu Kα, 1.54184 Å.

Structural model:
```
data_Li9Mn7O16
_chemical_formula_sum 'Li9 Mn7 O16'
_cell_length_a 6.043
_cell_length_b 6.493
_cell_length_c 8.150
_cell_angle_alpha 87.99
_cell_angle_beta 74.59
_cell_angle_gamma 75.26
_symmetry_space_group_name_H-M 'P -1'
_symmetry_Int_Tables_number 2
loop_
_symmetry_equiv_pos_as_xyz
'x,y,z'
'-x,-y,-z'
loop_
_atom_site_label
_atom_site_type_symbol
_atom_site_fract_x
_atom_site_fract_y
_atom_site_fract_z
Li1 Li 0.000 0.000 0.000
Li2 Li 0.000 0.500 0.500
Li3 Li 0.133 0.372 0.131
Li4 Li 0.245 0.236 0.763
Li5 Li 0.369 0.119 0.358
Li6 Li 0.500 0.000 0.000
Mn1 Mn 0.127 0.879 0.632
Mn2 Mn 0.246 0.750 0.245
Mn3 Mn 0.373 0.632 0.876
Mn4 Mn 0.500 0.500 0.500
O1 O 0.056 0.179 0.583
O2 O 0.099 0.688 0.075
O3 O 0.182 0.050 0.200
O4 O 0.196 0.574 0.673
O5 O 0.319 0.450 0.303
O6 O 0.319 0.918 0.812
O7 O 0.405 0.799 0.426
O8 O 0.445 0.321 0.921
```

Main lines, in order of rising 2θ (5 to 70 degrees two-theta):
(1 1 0), 18.29 deg, I 100
(1 0 3), 33.71 deg, I 18
(-1 1 2), 36.28 deg, I 24
(2 1 3), 40.41 deg, I 36
(2 0 -2), 44.28 deg, I 27
(0 3 -1), 44.43 deg, I 27

Entry 3:
Diffraction record for FeAs2Pb2O9. The X-ray diffraction stick pattern is simulated, not measured: it uses a structure optimized by DFT (GGA+U) and Cu Kα, 1.54184 Å.

Structural model:
```
data_FeAs2Pb2O9
_chemical_formula_sum 'Fe2 As4 Pb4 O18'
_cell_length_a 8.105
_cell_length_b 6.014
_cell_length_c 9.034
_cell_angle_alpha 90.00
_cell_angle_beta 113.32
_cell_angle_gamma 90.00
_symmetry_space_group_name_H-M 'P 1 21/m 1'
_symmetry_Int_Tables_number 11
loop_
_symmetry_equiv_pos_as_xyz
'x,y,z'
'-x,-y,-z'
'-x,y+1/2,-z'
'x,-y+1/2,z'
loop_
_atom_site_label
_atom_site_type_symbol
_atom_site_fract_x
_atom_site_fract_y
_atom_site_fract_z
Fe1 Fe 0.000 0.000 0.000
As1 As 0.027 0.250 0.337
As2 As 0.432 0.250 0.172
Pb1 Pb 0.295 0.750 0.386
Pb2 Pb 0.305 0.250 0.754
O1 O 0.010 0.510 0.782
O2 O 0.112 0.750 0.565
O3 O 0.151 0.750 0.074
O4 O 0.196 0.250 0.069
O5 O 0.251 0.250 0.460
O6 O 0.473 0.750 0.965
O7 O 0.493 0.017 0.294
```

Main lines, in order of rising 2θ (5 to 70 degrees two-theta):
(0 1 1), 18.22 deg, I 31
(1 1 1), 24.05 deg, I 36
(2 1 -1), 26.55 deg, I 100
(2 1 -2), 29.17 deg, I 37
(0 2 0), 29.69 deg, I 83
(1 1 2), 32.21 deg, I 48

Entry 4:
Diffraction record for KLi2FeO3. The X-ray diffraction stick pattern is simulated, not measured: it uses a structure optimized by DFT (GGA+U) and Cu Kα, 1.54184 Å.

Structural model:
```
data_KLi2FeO3
_chemical_formula_sum 'K4 Li8 Fe4 O12'
_cell_length_a 6.550
_cell_length_b 6.138
_cell_length_c 8.793
_cell_angle_alpha 90.00
_cell_angle_beta 90.00
_cell_angle_gamma 90.00
_symmetry_space_group_name_H-M 'P n m a'
_symmetry_Int_Tables_number 62
loop_
_symmetry_equiv_pos_as_xyz
'x,y,z'
'-x,-y,-z'
'-x+1/2,-y,z+1/2'
'x+1/2,y,-z+1/2'
'x+1/2,-y+1/2,-z+1/2'
'-x+1/2,y+1/2,z+1/2'
'-x,y+1/2,-z'
'x,-y+1/2,z'
loop_
_atom_site_label
_atom_site_type_symbol
_atom_site_fract_x
_atom_site_fract_y
_atom_site_fract_z
K1 K 0.178 0.250 0.011
Li1 Li 0.005 0.005 0.731
Fe1 Fe 0.184 0.250 0.496
O1 O 0.000 0.000 0.500
O2 O 0.155 0.750 0.172
O3 O 0.163 0.750 0.817
```

Main lines, in order of rising 2θ (5 to 70 degrees two-theta):
(0 0 2), 20.20 deg, I 100
(1 1 1), 22.28 deg, I 38
(0 2 0), 29.10 deg, I 62
(0 2 2), 35.68 deg, I 32
(2 1 2), 37.24 deg, I 94
(2 2 0), 40.27 deg, I 46

Entry 5:
Diffraction record for MgV8O16. The X-ray diffraction stick pattern is simulated, not measured: it uses a structure optimized by DFT (GGA+U) and Cu Kα, 1.54184 Å.

Structural model:
```
data_MgV8O16
_chemical_formula_sum 'Mg1 V8 O16'
_cell_length_a 5.231
_cell_length_b 10.486
_cell_length_c 5.891
_cell_angle_alpha 90.00
_cell_angle_beta 92.14
_cell_angle_gamma 90.00
_symmetry_space_group_name_H-M 'P 1 m 1'
_symmetry_Int_Tables_number 6
loop_
_symmetry_equiv_pos_as_xyz
'x,y,z'
'x,-y,z'
loop_
_atom_site_label
_atom_site_type_symbol
_atom_site_fract_x
_atom_site_fract_y
_atom_site_fract_z
Mg1 Mg 0.000 0.000 0.000
V1 V 0.007 0.272 0.982
V2 V 0.022 0.235 0.485
V3 V 0.514 0.237 0.743
V4 V 0.516 0.237 0.246
O1 O 0.153 0.145 0.752
O2 O 0.171 0.143 0.224
O3 O 0.340 0.327 0.486
O4 O 0.362 0.333 0.004
O5 O 0.677 0.145 0.482
O6 O 0.712 0.146 0.996
O7 O 0.853 0.336 0.257
O8 O 0.858 0.343 0.737
```

Main lines, in order of rising 2θ (5 to 70 degrees two-theta):
(0 2 0), 16.91 deg, I 100
(2 0 0), 34.36 deg, I 13
(2 2 0), 38.49 deg, I 11
(1 2 -2), 38.57 deg, I 11
(1 4 -2), 49.27 deg, I 21
(1 4 2), 50.17 deg, I 10